(1)
Structure and calculated powder diffractogram of LiSi3BiO8 (a PBE-relaxed structure; a wavelength of 1.5418 Å).

Cell lengths 7.1750, 7.4855, 7.7682 Å; angles 112.94, 106.83, 99.60 degrees
Fractional coordinates of all 26 atoms:
Li: 0.0000 0.0000 0.0000
Li: 0.4798 0.6109 0.0152
Si: 0.0437 0.2080 0.7288
Si: 0.2964 0.6245 0.6159
Si: 0.3258 0.8277 0.3453
Si: 0.4339 0.2451 0.3601
Si: 0.8825 0.2534 0.3625
Si: 0.8841 0.5688 0.9588
Bi: 0.4983 0.1468 0.9230
Bi: 0.7836 0.6956 0.5306
O: 0.0465 0.4920 0.4986
O: 0.1057 0.7231 0.1537
O: 0.2898 0.3144 0.8328
O: 0.3023 0.8068 0.5433
O: 0.3141 0.1562 0.1188
O: 0.3874 0.0799 0.4410
O: 0.3942 0.7489 0.8551
O: 0.4100 0.4644 0.5019
O: 0.5099 0.7422 0.3065
O: 0.6798 0.3126 0.4012
O: 0.7094 0.4982 0.0362
O: 0.8344 0.1480 0.1264
O: 0.8363 0.6986 0.8305
O: 0.9196 0.3588 0.8180
O: 0.9592 0.1242 0.4789
O: 0.9725 0.0014 0.7494

The 10 most intense peaks (10 to 90 degrees two-theta), in order of rising 2θ:
d = 6.514 Å, I = 36
d = 6.338 Å, I = 100
d = 5.584 Å, I = 44
d = 4.706 Å, I = 40
d = 3.835 Å, I = 33
d = 3.549 Å, I = 48
d = 3.515 Å, I = 37
d = 3.375 Å, I = 60
d = 3.269 Å, I = 54
d = 2.916 Å, I = 36

=====

(2)
Structure and calculated powder diffractogram of Dy2Fe17 (a PBE-relaxed structure; a wavelength of 1.5418 Å).

Cell lengths 8.5029, 8.5029, 8.2544 Å; angles 90.00, 90.00, 120.09 degrees
Fractional coordinates of all 38 atoms:
Dy: 0.0000 0.0000 0.2500
Dy: 0.0000 0.0000 0.7500
Dy: 0.3332 0.6668 0.7500
Dy: 0.6668 0.3332 0.2500
Fe: 0.0000 0.5000 0.0000
Fe: 0.0000 0.5000 0.5000
Fe: 0.0379 0.3674 0.2500
Fe: 0.0381 0.6705 0.2500
Fe: 0.1660 0.3321 0.5140
Fe: 0.1660 0.3321 0.9860
Fe: 0.1661 0.8339 0.5141
Fe: 0.1661 0.8339 0.9859
Fe: 0.3293 0.3675 0.2500
Fe: 0.3295 0.9619 0.2500
Fe: 0.3321 0.1660 0.0140
Fe: 0.3321 0.1660 0.4860
Fe: 0.3333 0.6667 0.1068
Fe: 0.3333 0.6667 0.3932
Fe: 0.3674 0.0379 0.7500
Fe: 0.3675 0.3293 0.7500
Fe: 0.5000 0.0000 0.0000
Fe: 0.5000 0.0000 0.5000
Fe: 0.5000 0.5000 0.0000
Fe: 0.5000 0.5000 0.5000
Fe: 0.6325 0.6707 0.2500
Fe: 0.6326 0.9621 0.2500
Fe: 0.6667 0.3333 0.6068
Fe: 0.6667 0.3333 0.8932
Fe: 0.6679 0.8340 0.5140
Fe: 0.6679 0.8340 0.9860
Fe: 0.6705 0.0381 0.7500
Fe: 0.6707 0.6325 0.7500
Fe: 0.8339 0.1661 0.0141
Fe: 0.8339 0.1661 0.4859
Fe: 0.8340 0.6679 0.0140
Fe: 0.8340 0.6679 0.4860
Fe: 0.9619 0.3295 0.7500
Fe: 0.9621 0.6326 0.7500

The 10 most intense peaks (10 to 90 degrees two-theta), in order of rising 2θ:
d = 2.961 Å, I = 40
d = 2.453 Å, I = 42
d = 2.204 Å, I = 28
d = 2.125 Å, I = 58
d = 2.109 Å, I = 100
d = 2.064 Å, I = 30
d = 1.889 Å, I = 16
d = 1.480 Å, I = 17
d = 1.340 Å, I = 17
d = 1.200 Å, I = 18

=====

(3)
Structure and calculated powder diffractogram of ErSiRh2 (a PBE-relaxed structure; a wavelength of 1.5418 Å).

Cell lengths 5.5539, 5.5539, 14.9945 Å; angles 90.00, 90.00, 120.00 degrees
Fractional coordinates of all 24 atoms:
Er: 0.3333 0.6667 0.0373
Er: 0.3333 0.6667 0.2500
Er: 0.3333 0.6667 0.4627
Er: 0.6667 0.3333 0.5373
Er: 0.6667 0.3333 0.7500
Er: 0.6667 0.3333 0.9627
Si: 0.0000 0.0000 0.0000
Si: 0.0000 0.0000 0.2500
Si: 0.0000 0.0000 0.5000
Si: 0.0000 0.0000 0.7500
Si: 0.3333 0.6667 0.7500
Si: 0.6667 0.3333 0.2500
Rh: 0.1671 0.3341 0.6300
Rh: 0.1671 0.3341 0.8700
Rh: 0.1671 0.8329 0.6300
Rh: 0.1671 0.8329 0.8700
Rh: 0.3341 0.1671 0.1300
Rh: 0.3341 0.1671 0.3700
Rh: 0.6659 0.8329 0.6300
Rh: 0.6659 0.8329 0.8700
Rh: 0.8329 0.1671 0.1300
Rh: 0.8329 0.1671 0.3700
Rh: 0.8329 0.6659 0.1300
Rh: 0.8329 0.6659 0.3700

The 10 most intense peaks (10 to 90 degrees two-theta), in order of rising 2θ:
d = 2.957 Å, I = 29
d = 2.777 Å, I = 30
d = 2.545 Å, I = 96
d = 2.405 Å, I = 39
d = 2.375 Å, I = 96
d = 2.231 Å, I = 100
d = 2.167 Å, I = 37
d = 1.555 Å, I = 42
d = 1.388 Å, I = 37
d = 1.370 Å, I = 34

=====

(4)
Structure and calculated powder diffractogram of Cs2TlInCl6 (a PBE-relaxed structure; a wavelength of 1.5418 Å).

Cell lengths 7.9594, 7.9594, 7.9594 Å; angles 60.00, 60.00, 60.00 degrees
Fractional coordinates of all 10 atoms:
Cs: 0.2500 0.2500 0.2500
Cs: 0.7500 0.7500 0.7500
Tl: 0.0000 0.0000 0.0000
In: 0.5000 0.5000 0.5000
Cl: 0.2730 0.2730 0.7270
Cl: 0.2730 0.7270 0.2730
Cl: 0.2730 0.7270 0.7270
Cl: 0.7270 0.2730 0.2730
Cl: 0.7270 0.2730 0.7270
Cl: 0.7270 0.7270 0.2730

The 10 most intense peaks (10 to 90 degrees two-theta), in order of rising 2θ:
d = 3.980 Å, I = 100
d = 2.814 Å, I = 49
d = 2.298 Å, I = 45
d = 1.990 Å, I = 34
d = 1.780 Å, I = 24
d = 1.625 Å, I = 11
d = 1.504 Å, I = 27
d = 1.327 Å, I = 12
d = 1.258 Å, I = 14
d = 1.104 Å, I = 15

=====

(5)
Structure and calculated powder diffractogram of CdPb3Se4 (a PBE-relaxed structure; a wavelength of 1.5418 Å).

Cell lengths 14.1764, 14.1764, 14.1764 Å; angles 17.64, 17.64, 17.64 degrees
Fractional coordinates of all 8 atoms:
Cd: 0.0000 0.0000 0.0000
Pb: 0.2539 0.2539 0.2539
Pb: 0.5000 0.5000 0.5000
Pb: 0.7461 0.7461 0.7461
Se: 0.1236 0.1236 0.1236
Se: 0.3701 0.3701 0.3701
Se: 0.6299 0.6299 0.6299
Se: 0.8764 0.8764 0.8764

The 10 most intense peaks (10 to 90 degrees two-theta), in order of rising 2θ:
d = 3.543 Å, I = 22
d = 3.056 Å, I = 100
d = 2.174 Å, I = 40
d = 2.148 Å, I = 35
d = 1.845 Å, I = 8
d = 1.771 Å, I = 21
d = 1.528 Å, I = 12
d = 1.373 Å, I = 18
d = 1.360 Å, I = 14
d = 1.250 Å, I = 13

=====

(6)
Structure and calculated powder diffractogram of Nb5VFe2Se20 (a PBE-relaxed structure; a wavelength of 1.5418 Å).

Cell lengths 6.9595, 10.2640, 10.8395 Å; angles 62.40, 71.93, 70.43 degrees
Fractional coordinates of all 28 atoms:
Nb: 0.0000 0.0000 0.0000
Nb: 0.0733 0.1656 0.2786
Nb: 0.1683 0.4370 0.7302
Nb: 0.5104 0.9969 0.9974
Nb: 0.6730 0.4336 0.7287
V: 0.5957 0.2690 0.4582
Fe: 0.1502 0.2702 0.4675
Fe: 0.5200 0.1658 0.2651
Se: 0.0272 0.2312 0.7240
Se: 0.1556 0.2056 0.9978
Se: 0.2288 0.3814 0.2127
Se: 0.2809 0.4712 0.4524
Se: 0.3036 0.5490 0.8573
Se: 0.3043 0.7748 0.1232
Se: 0.3707 0.6608 0.6060
Se: 0.3712 0.8846 0.8719
Se: 0.4027 0.9593 0.2763
Se: 0.4500 0.0625 0.5183
Se: 0.5211 0.2287 0.7273
Se: 0.6477 0.2038 0.0053
Se: 0.7143 0.3534 0.2063
Se: 0.8001 0.4487 0.4574
Se: 0.7998 0.5471 0.8611
Se: 0.8126 0.7676 0.1192
Se: 0.8645 0.6642 0.6092
Se: 0.8679 0.9817 0.2739
Se: 0.8769 0.8851 0.8674
Se: 0.9495 0.0815 0.5356

The 10 most intense peaks (10 to 90 degrees two-theta), in order of rising 2θ:
d = 5.458 Å, I = 71
d = 5.100 Å, I = 22
d = 2.829 Å, I = 100
d = 2.815 Å, I = 96
d = 2.549 Å, I = 72
d = 2.362 Å, I = 31
d = 2.251 Å, I = 57
d = 2.117 Å, I = 29
d = 2.098 Å, I = 27
d = 1.740 Å, I = 45

=====

(7)
Structure and calculated powder diffractogram of USO (a PBE-relaxed structure; a wavelength of 1.5418 Å).

Cell lengths 3.7915, 3.7915, 6.7479 Å; angles 90.00, 90.00, 90.00 degrees
Fractional coordinates of all 6 atoms:
U: 0.2500 0.2500 0.2005
U: 0.7500 0.7500 0.7995
S: 0.2500 0.2500 0.6340
S: 0.7500 0.7500 0.3660
O: 0.2500 0.7500 0.0000
O: 0.7500 0.2500 0.0000

The 10 most intense peaks (10 to 90 degrees two-theta), in order of rising 2θ:
d = 3.374 Å, I = 21
d = 3.305 Å, I = 100
d = 2.681 Å, I = 48
d = 2.520 Å, I = 37
d = 2.099 Å, I = 34
d = 1.934 Å, I = 15
d = 1.896 Å, I = 22
d = 1.644 Å, I = 29
d = 1.541 Å, I = 15
d = 1.515 Å, I = 16

=====

(8)
Structure and calculated powder diffractogram of NdSnIr (a PBE-relaxed structure; a wavelength of 1.5418 Å).

Cell lengths 7.5033, 7.5033, 4.1897 Å; angles 90.00, 90.00, 120.00 degrees
Fractional coordinates of all 9 atoms:
Nd: 0.0000 0.5909 0.0000
Nd: 0.4091 0.4091 0.0000
Nd: 0.5909 0.0000 0.0000
Sn: 0.0000 0.2512 0.5000
Sn: 0.2512 0.0000 0.5000
Sn: 0.7488 0.7488 0.5000
Ir: 0.0000 0.0000 0.0000
Ir: 0.3333 0.6667 0.5000
Ir: 0.6667 0.3333 0.5000

The 10 most intense peaks (10 to 90 degrees two-theta), in order of rising 2θ:
d = 3.752 Å, I = 16
d = 2.795 Å, I = 75
d = 2.567 Å, I = 100
d = 2.456 Å, I = 33
d = 2.166 Å, I = 41
d = 2.119 Å, I = 42
d = 2.095 Å, I = 30
d = 1.594 Å, I = 18
d = 1.506 Å, I = 26
d = 1.404 Å, I = 32